Computed powder diffractogram
Compound: GaSnBi2O6
Radiation: Cu Kα (weighted mean of Kα1 and Kα2)
Structure: DFT lattice parameters and positions (GGA-PBE)
No peak broadening, texture or thermal motion is included.

Largest 10 diffraction maxima, by intensity, 15 to 90 degrees two-theta:
Position (°2θ), I/Imax
30.82, 100
29.92, 98
21.35, 45
43.49, 43
54.25, 42
48.34, 36
54.80, 25
72.43, 17
64.20, 15
37.80, 15

Cell and atoms:
Cell: 5.8029 5.8029 14.8499 Å, 90.00 90.00 120.00°
Space group R3 (No. 146, hexagonal axes)
Symmetry-distinct sites (fractional):
1 Ga 0.0000 0.0000 0.0000 (multiplicity 3)
2 Sn 0.0000 0.0000 0.5024 (multiplicity 3)
3 Bi 0.0000 0.0000 0.2860 (multiplicity 3)
4 Bi 0.0000 0.0000 0.7857 (multiplicity 3)
5 O 0.0891 0.7476 0.0595 (multiplicity 9)
6 O 0.0979 0.3697 0.5661 (multiplicity 9)